Structure and computed PXRD pattern of HoHfOs2 (a DFT-relaxed cell (PBE, the Materials Project); Cu Kα X-rays).
Neutral-atom scattering factors, no anomalous dispersion.

Crystal structure
Lattice parameters (Å, degrees): 6.6400 6.6400 6.6400 90.00 90.00 90.00
Space group Fm-3m (No. 225)
Symmetry-distinct sites (fractional):
Ho  0.0000  0.0000  0.0000
Hf  0.0000  0.0000  0.5000
Os  0.2500  0.2500  0.2500

Most intense lines, 15° ≤ 2θ ≤ 90°, most intense first:
2θ/deg	I/Imax
38.34	1000
69.33	357
55.34	175
82.11	114

=====

Structure and computed PXRD pattern of Li15Si4 (a DFT-relaxed cell (PBE, the Materials Project); Cu Kα X-rays).
Neutral-atom scattering factors, no anomalous dispersion.

Crystal structure
Lattice parameters (Å, degrees): 10.5660 10.5660 10.5660 90.00 90.00 90.00
Space group I-43d (No. 220)
Symmetry-distinct sites (fractional):
Li  0.0000  0.2500  0.3750
Li  0.0366  0.3769  0.1539
Si  0.0424  0.4576  0.5424

Most intense lines, 15° ≤ 2θ ≤ 90°, most intense first:
2θ/deg	I/Imax
23.82	1000
40.02	735
43.68	725
26.68	429
20.59	416
47.11	301
41.89	291
77.75	230
70.13	227
56.44	164

=====

Structure and computed PXRD pattern of Mg6TiZnO8 (a DFT-relaxed cell (PBE, the Materials Project); Cu Kα X-rays).
Neutral-atom scattering factors, no anomalous dispersion.

Crystal structure
Lattice parameters (Å, degrees): 4.2873 4.2873 8.6849 90.00 90.00 90.00
Space group P4/mmm (No. 123)
Symmetry-distinct sites (fractional):
Mg  0.0000  0.0000  0.0000
Mg  0.0000  0.0000  0.5000
Mg  0.0000  0.5000  0.2466
Ti  0.5000  0.5000  0.5000
Zn  0.5000  0.5000  0.0000
O  0.0000  0.0000  0.2513
O  0.0000  0.5000  0.0000
O  0.0000  0.5000  0.5000
O  0.5000  0.5000  0.2503

Most intense lines, 15° ≤ 2θ ≤ 90°, most intense first:
2θ/deg	I/Imax
42.15	1000
60.71	583
41.59	521
36.13	389
61.14	285
76.67	263
20.72	187
29.27	158
73.12	130
20.45	97